# 1
Theoretical PXRD pattern
Compound: U2SnIr2
Radiation: copper Kα
Structure: a cell relaxed with GGA-PBE
No peak broadening, texture or thermal motion is included.

Main lines, most intense first (2θ from 10° to 90°):
hkl  2θ/deg  I/Imax
2 1 2  36.38  100
3 1 0  37.25  39
5 2 2  71.60  17
3 1 4  64.90  14
2 0 2  34.36  13
4 1 2  55.92  13

Cell and atoms:
```
data_U2SnIr2
_chemical_formula_sum 'U8 Sn4 Ir8'
_cell_length_a 7.6342
_cell_length_b 7.6342
_cell_length_c 7.1520
_cell_angle_alpha 90.00
_cell_angle_beta 90.00
_cell_angle_gamma 90.00
_space_group_name_H-M_alt 'P 42/m n m'
_space_group_IT_number 136
_space_group_name_Hall '-P 4n 2n'
loop_
_atom_site_label
_atom_site_type_symbol
_atom_site_fract_x
_atom_site_fract_y
_atom_site_fract_z
U1 U 0.1515 0.1515 0.0000
U2 U 0.1789 0.1789 0.5000
Sn1 Sn 0.0000 0.5000 0.2500
Ir1 Ir 0.1365 0.8635 0.2752
```

# 2
Theoretical PXRD pattern
Compound: Na2BiPd3
Radiation: copper Kα
Structure: a cell relaxed with GGA-PBE
No peak broadening, texture or thermal motion is included.

Main lines, most intense first (2θ from 10° to 90°):
hkl  2θ/deg  I/Imax
1 0 0  18.09  100
1 1 2  37.78  80
2 0 2  42.19  62
2 0 1  38.10  58
1 0 2  27.22  36
1 0 4  45.14  26

Cell and atoms:
```
data_Na2BiPd3
_chemical_formula_sum 'Na4 Bi2 Pd6'
_cell_length_a 5.6618
_cell_length_b 5.6618
_cell_length_c 8.8075
_cell_angle_alpha 90.00
_cell_angle_beta 90.00
_cell_angle_gamma 120.00
_space_group_name_H-M_alt 'P 63/m m c'
_space_group_IT_number 194
_space_group_name_Hall '-P 6c 2c'
loop_
_atom_site_label
_atom_site_type_symbol
_atom_site_fract_x
_atom_site_fract_y
_atom_site_fract_z
Na1 Na 0.3333 0.6667 0.0725
Bi1 Bi 0.0000 0.0000 0.0000
Pd1 Pd 0.1734 0.3468 0.7500
```

# 3
Theoretical PXRD pattern
Compound: GdSn6Pt4
Radiation: copper Kα
Structure: a cell relaxed with GGA-PBE
No peak broadening, texture or thermal motion is included.

Main lines, most intense first (2θ from 10° to 90°):
hkl  2θ/deg  I/Imax
2 2 0  34.78  100
3 1 2  43.36  93
1 1 2  25.07  82
1 1 4  40.79  79
2 0 4  44.57  64
2 1 1  28.84  64

Cell and atoms:
```
data_GdSn6Pt4
_chemical_formula_sum 'Gd2 Sn12 Pt8'
_cell_length_a 7.2953
_cell_length_b 7.2953
_cell_length_c 9.7952
_cell_angle_alpha 90.00
_cell_angle_beta 90.00
_cell_angle_gamma 90.00
_space_group_name_H-M_alt 'I -4 2 m'
_space_group_IT_number 121
_space_group_name_Hall 'I -4 2'
loop_
_atom_site_label
_atom_site_type_symbol
_atom_site_fract_x
_atom_site_fract_y
_atom_site_fract_z
Gd1 Gd 0.0000 0.0000 0.0000
Sn1 Sn 0.0000 0.5000 0.0000
Sn2 Sn 0.1462 0.1462 0.6779
Pt1 Pt 0.2264 0.2264 0.4095
```

# 4
Theoretical PXRD pattern
Compound: K2MgNiH6
Radiation: copper Kα
Structure: a cell relaxed with GGA-PBE
No peak broadening, texture or thermal motion is included.

Main lines, most intense first (2θ from 10° to 90°):
hkl  2θ/deg  I/Imax
2 2 0  33.27  100
4 2 2  59.45  33
4 0 0  47.77  18
1 1 1  20.19  14
6 2 0  79.61  13
4 4 0  69.86  10

Cell and atoms:
```
data_K2MgNiH6
_chemical_formula_sum 'K8 Mg4 Ni4 H24'
_cell_length_a 7.6163
_cell_length_b 7.6163
_cell_length_c 7.6163
_cell_angle_alpha 90.00
_cell_angle_beta 90.00
_cell_angle_gamma 90.00
_space_group_name_H-M_alt 'F m -3 m'
_space_group_IT_number 225
_space_group_name_Hall '-F 4 2 3'
loop_
_atom_site_label
_atom_site_type_symbol
_atom_site_fract_x
_atom_site_fract_y
_atom_site_fract_z
K1 K 0.2500 0.2500 0.2500
Mg1 Mg 0.0000 0.0000 0.0000
Ni1 Ni 0.0000 0.0000 0.5000
H1 H 0.0000 0.0000 0.2794
```

# 5
Theoretical PXRD pattern
Compound: Zn2In
Radiation: copper Kα
Structure: a cell relaxed with GGA-PBE
No peak broadening, texture or thermal motion is included.

Main lines, most intense first (2θ from 10° to 90°):
hkl  2θ/deg  I/Imax
1 3 1  38.53  100
0 0 2  34.47  47
0 6 1  42.41  43
1 3 0  34.30  29
1 3 2  49.42  20
1 3 3  64.47  20

Cell and atoms:
```
data_Zn2In
_chemical_formula_sum 'Zn8 In4'
_cell_length_a 3.1548
_cell_length_b 14.0176
_cell_length_c 5.2036
_cell_angle_alpha 90.00
_cell_angle_beta 90.00
_cell_angle_gamma 90.00
_space_group_name_H-M_alt 'C m c m'
_space_group_IT_number 63
_space_group_name_Hall '-C 2c 2'
loop_
_atom_site_label
_atom_site_type_symbol
_atom_site_fract_x
_atom_site_fract_y
_atom_site_fract_z
Zn1 Zn 0.0000 0.0582 0.2500
Zn2 Zn 0.0000 0.2876 0.7500
In1 In 0.0000 0.3855 0.2500
```

# 6
Theoretical PXRD pattern
Compound: LiFe6Ge6
Radiation: copper Kα
Structure: a cell relaxed with GGA-PBE
No peak broadening, texture or thermal motion is included.

Main lines, most intense first (2θ from 10° to 90°):
hkl  2θ/deg  I/Imax
2 2 2  47.68  100
3 0 2  42.57  56
3 0 0  35.84  42
1 1 4  50.23  34
2 2 0  41.61  33
6 0 0  75.94  25

Cell and atoms:
```
data_LiFe6Ge6
_chemical_formula_sum 'Li3 Fe18 Ge18'
_cell_length_a 8.6804
_cell_length_b 8.6804
_cell_length_c 8.0003
_cell_angle_alpha 90.00
_cell_angle_beta 90.00
_cell_angle_gamma 120.00
_space_group_name_H-M_alt 'P 6/m m m'
_space_group_IT_number 191
_space_group_name_Hall '-P 6 2'
loop_
_atom_site_label
_atom_site_type_symbol
_atom_site_fract_x
_atom_site_fract_y
_atom_site_fract_z
Li1 Li 0.0000 0.0000 0.0000
Li2 Li 0.3333 0.6667 0.5000
Fe1 Fe 0.0000 0.5000 0.2462
Fe2 Fe 0.1669 0.3338 0.2521
Ge1 Ge 0.0000 0.0000 0.3388
Ge2 Ge 0.0000 0.3276 0.0000
Ge3 Ge 0.0000 0.3394 0.5000
Ge4 Ge 0.3333 0.6667 0.1622
```

# 7
Theoretical PXRD pattern
Compound: NaSr3GdP3O12F
Radiation: copper Kα
Structure: a cell relaxed with GGA-PBE
No peak broadening, texture or thermal motion is included.

Main lines, most intense first (2θ from 10° to 90°):
hkl  2θ/deg  I/Imax
3 -2 1  31.46  100
1 1 1  22.54  33
3 0 0  32.65  31
2 1 3  48.42  27
2 1 0  28.71  22
4 -2 2  46.01  20

Cell and atoms:
```
data_NaSr3GdP3O12F
_chemical_formula_sum 'Na2 Sr6 Gd2 P6 O24 F2'
_cell_length_a 9.5001
_cell_length_b 9.5001
_cell_length_c 7.0803
_cell_angle_alpha 90.00
_cell_angle_beta 90.00
_cell_angle_gamma 120.00
_space_group_name_H-M_alt 'P -3'
_space_group_IT_number 147
loop_
_space_group_symop_operation_xyz
'x,y,z'
'-x,-y,-z'
'-y,x-y,z'
'y,-x+y,-z'
'-x+y,-x,z'
'x-y,x,-z'
loop_
_atom_site_label
_atom_site_type_symbol
_atom_site_fract_x
_atom_site_fract_y
_atom_site_fract_z
Na1 Na 0.3333 0.6667 0.0262
Sr1 Sr 0.0224 0.2588 0.2416
Gd1 Gd 0.3333 0.6667 0.5261
P1 P 0.0305 0.4060 0.7432
O1 O 0.0440 0.2990 0.8975
O2 O 0.1079 0.3821 0.5601
O3 O 0.1317 0.5906 0.7847
O4 O 0.1511 0.6475 0.2821
F1 F 0.0000 0.0000 0.2984
```

# 8
Theoretical PXRD pattern
Compound: Nd5P
Radiation: copper Kα
Structure: a cell relaxed with GGA-PBE
No peak broadening, texture or thermal motion is included.

Main lines, most intense first (2θ from 10° to 90°):
hkl  2θ/deg  I/Imax
0 4 1  32.83  100
2 0 2  31.44  89
0 0 4  29.90  55
0 2 2  21.74  54
0 4 5  50.16  51
2 2 0  31.94  40

Cell and atoms:
```
data_Nd5P
_chemical_formula_sum 'Nd20 P4'
_cell_length_a 6.4702
_cell_length_b 11.2063
_cell_length_c 11.9550
_cell_angle_alpha 90.00
_cell_angle_beta 90.00
_cell_angle_gamma 90.00
_space_group_name_H-M_alt 'C m c m'
_space_group_IT_number 63
_space_group_name_Hall '-C 2c 2'
loop_
_atom_site_label
_atom_site_type_symbol
_atom_site_fract_x
_atom_site_fract_y
_atom_site_fract_z
Nd1 Nd 0.0000 0.1666 0.0232
Nd2 Nd 0.0000 0.3315 0.7500
Nd3 Nd 0.2483 0.0832 0.7500
P1 P 0.0000 0.1681 0.2500
```

# 9
Theoretical PXRD pattern
Compound: Fe3PCl3
Radiation: copper Kα
Structure: a cell relaxed with GGA-PBE
No peak broadening, texture or thermal motion is included.

Main lines, most intense first (2θ from 10° to 90°):
hkl  2θ/deg  I/Imax
0 2 2  43.15  100
0 2 1  32.88  85
1 1 1  29.46  81
2 2 0  50.97  79
1 0 1  21.19  54
2 0 3  56.91  31

Cell and atoms:
```
data_Fe3PCl3
_chemical_formula_sum 'Fe6 P2 Cl6'
_cell_length_a 7.1668
_cell_length_b 7.1668
_cell_length_c 5.6877
_cell_angle_alpha 90.00
_cell_angle_beta 90.00
_cell_angle_gamma 120.00
_space_group_name_H-M_alt 'P -3 m 1'
_space_group_IT_number 164
_space_group_name_Hall '-P 3 2"'
loop_
_atom_site_label
_atom_site_type_symbol
_atom_site_fract_x
_atom_site_fract_y
_atom_site_fract_z
Fe1 Fe 0.0000 0.0000 0.0000
Fe2 Fe 0.0000 0.5000 0.5000
Fe3 Fe 0.3333 0.6667 0.8948
P1 P 0.3333 0.6667 0.2956
Cl1 Cl 0.1575 0.3149 0.7484
```

# 10
Theoretical PXRD pattern
Compound: Cu5Ag4
Radiation: copper Kα
Structure: a cell relaxed with GGA-PBE
No peak broadening, texture or thermal motion is included.

Main lines, most intense first (2θ from 10° to 90°):
hkl  2θ/deg  I/Imax
1 0 9  40.33  100
1 1 0  45.73  38
2 1 9  80.89  23
1 1 18  69.45  13
2 0 0  66.67  11
0 0 18  49.23  10

Cell and atoms:
```
data_Cu5Ag4
_chemical_formula_sum 'Cu10 Ag8'
_cell_length_a 2.8057
_cell_length_b 2.8057
_cell_length_c 33.3181
_cell_angle_alpha 90.00
_cell_angle_beta 90.00
_cell_angle_gamma 90.00
_space_group_name_H-M_alt 'I 4 m m'
_space_group_IT_number 107
_space_group_name_Hall 'I 4 -2'
loop_
_atom_site_label
_atom_site_type_symbol
_atom_site_fract_x
_atom_site_fract_y
_atom_site_fract_z
Cu1 Cu 0.0000 0.0000 0.0000
Cu2 Cu 0.0000 0.0000 0.0936
Cu3 Cu 0.0000 0.0000 0.5466
Cu4 Cu 0.0000 0.0000 0.7725
Cu5 Cu 0.0000 0.0000 0.8850
Ag1 Ag 0.0000 0.0000 0.2163
Ag2 Ag 0.0000 0.0000 0.3289
Ag3 Ag 0.0000 0.0000 0.4423
Ag4 Ag 0.0000 0.0000 0.6509
```

# 11
Theoretical PXRD pattern
Compound: ZnTe2Pd2F2
Radiation: copper Kα
Structure: a cell relaxed with GGA-PBE
No peak broadening, texture or thermal motion is included.

Main lines, most intense first (2θ from 10° to 90°):
hkl  2θ/deg  I/Imax
1 1 2  39.89  100
1 0 2  31.23  70
1 1 0  34.47  44
0 0 2  19.47  42
2 0 0  49.54  41
1 0 4  46.88  38

Cell and atoms:
```
data_ZnTe2Pd2F2
_chemical_formula_sum 'Zn1 Te2 Pd2 F2'
_cell_length_a 3.6799
_cell_length_b 3.6799
_cell_length_c 9.1194
_cell_angle_alpha 90.00
_cell_angle_beta 90.00
_cell_angle_gamma 90.00
_space_group_name_H-M_alt 'P -4 m 2'
_space_group_IT_number 115
loop_
_space_group_symop_operation_xyz
'x,y,z'
'y,-x,-z'
'-x,-y,z'
'-y,x,-z'
'-x,y,z'
'-y,-x,-z'
'x,-y,z'
'y,x,-z'
loop_
_atom_site_label
_atom_site_type_symbol
_atom_site_fract_x
_atom_site_fract_y
_atom_site_fract_z
Zn1 Zn 0.0000 0.0000 0.0000
Te1 Te 0.0000 0.5000 0.7769
Pd1 Pd 0.0000 0.5000 0.3303
F1 F 0.0000 0.0000 0.5000
F2 F 0.5000 0.5000 0.5000
```